No. 1
For Sc2TlReO8, a cell relaxed with GGA-PBE gives the computed powder XRD pattern in this record (CuKα).
Kinematic intensities with the Lorentz-polarization factor, no thermal factor.

Peak list (6 most intense, 5 to 70 degrees two-theta, most intense first)
2theta	intensity
32.61	100
18.58	89
25.91	58
26.87	53
50.11	39
51.22	38

Cell and atoms:
```
Sc2TlReO8
1.0
3.318 -3.439 0.000
3.318 3.439 0.000
0.000 0.000 6.711
Sc Tl Re O
2 1 1 8
Cartesian
0.000 0.000 1.658
0.000 0.000 5.053
3.318 0.000 3.356
3.318 0.000 0.000
1.246 0.000 3.356
1.399 0.000 0.000
3.318 1.331 1.344
3.318 1.331 5.367
3.318 -1.331 1.344
3.318 -1.331 5.367
5.237 0.000 0.000
5.390 0.000 3.356
```

No. 2
For Re3SeO12, a cell relaxed with GGA-PBE gives the computed powder XRD pattern in this record (CuKα).
Kinematic intensities with the Lorentz-polarization factor, no thermal factor.

Peak list (6 most intense, 5 to 70 degrees two-theta, most intense first)
2theta	intensity
21.50	100
17.81	42
33.42	29
12.71	27
26.55	26
38.80	14

Cell and atoms:
```
Re3SeO12
1.0
4.543 2.623 9.962
-4.543 2.623 9.962
0.000 -5.246 9.962
Re Se O
6 2 24
Cartesian
-1.165 -2.888 9.962
-2.624 -0.170 14.943
-1.919 2.453 9.962
1.459 -2.188 14.943
3.084 0.435 9.962
1.165 2.358 14.943
0.000 0.000 11.587
0.000 0.000 26.531
-0.302 -3.154 8.477
-4.102 0.631 14.565
-3.024 -1.534 16.155
-2.580 1.839 8.477
-1.963 -0.784 13.458
-0.184 -1.860 11.174
-3.007 -1.633 20.610
-1.519 1.089 11.174
-0.089 -1.826 15.629
1.505 -3.868 14.565
-1.537 0.990 15.629
-0.441 -1.992 19.547
1.661 -1.308 13.458
-1.505 1.378 19.547
1.702 0.771 11.174
0.302 2.092 13.458
2.883 1.315 8.477
2.841 -1.852 16.155
1.626 0.836 15.629
0.184 3.386 16.155
2.917 -1.787 20.610
1.946 0.614 19.547
0.089 3.420 20.610
2.597 3.237 14.565
```

No. 3
For Re2SiO, a cell relaxed with GGA-PBE gives the computed powder XRD pattern in this record (CuKα).
Kinematic intensities with the Lorentz-polarization factor, no thermal factor.

Peak list (4 most intense, 5 to 70 degrees two-theta, most intense first)
2theta	intensity
43.91	100
30.66	80
54.50	22
63.84	16

Cell and atoms:
```
Re2SiO
1.0
5.832 0.000 0.000
0.000 5.832 0.000
0.000 0.000 5.832
Re Si O
8 4 4
Cartesian
1.458 1.458 1.458
1.458 1.458 4.374
1.458 4.374 1.458
1.458 4.374 4.374
4.374 1.458 1.458
4.374 1.458 4.374
4.374 4.374 1.458
4.374 4.374 4.374
0.000 0.000 0.000
0.000 2.916 2.916
2.916 0.000 2.916
2.916 2.916 0.000
0.000 0.000 2.916
0.000 2.916 0.000
2.916 0.000 0.000
2.916 2.916 2.916
```

No. 4
For Sm3ReO8, a cell relaxed with GGA-PBE gives the computed powder XRD pattern in this record (CuKα).
Kinematic intensities with the Lorentz-polarization factor, no thermal factor.

Peak list (6 most intense, 5 to 70 degrees two-theta, most intense first)
2theta	intensity
29.61	100
29.04	30
28.33	23
51.83	17
29.21	16
43.07	14

Cell and atoms:
```
Sm3ReO8
1.0
7.416 0.000 0.000
0.000 6.149 0.000
-5.323 0.000 13.850
Sm Re O
12 4 32
Cartesian
-0.365 1.466 2.791
-3.026 1.609 9.715
-1.178 1.228 6.174
-3.840 1.847 13.099
1.155 4.228 4.614
-1.506 4.996 11.539
3.600 1.154 2.311
0.939 1.921 9.236
5.933 4.303 0.751
3.272 4.921 7.676
5.119 4.540 4.134
2.458 4.684 11.059
1.898 4.586 1.255
-0.763 4.638 8.180
2.856 1.511 5.669
0.195 1.564 12.594
-4.562 4.292 13.603
-1.901 4.932 6.678
-3.384 0.188 11.643
-0.723 2.886 4.718
0.359 3.992 2.341
-2.302 5.232 9.266
-3.031 3.264 11.454
-0.370 5.960 4.529
1.350 0.265 1.337
-1.312 2.809 8.262
-0.320 0.306 8.151
2.341 2.769 1.226
-0.710 1.263 10.924
1.951 1.811 3.999
0.745 4.283 7.212
3.406 4.940 0.287
-1.313 1.209 13.563
1.349 1.866 6.638
0.142 4.338 9.850
2.803 4.886 2.926
-0.248 3.380 12.624
2.414 5.843 5.699
3.405 3.340 5.588
0.744 5.884 12.513
2.464 0.189 9.321
5.125 2.886 2.396
4.396 0.917 4.584
1.734 2.157 11.508
2.817 3.263 9.132
5.478 5.961 2.207
3.995 1.217 7.171
6.656 1.858 0.246
```

No. 5
For Sm2ReO5, a cell relaxed with GGA-PBE gives the computed powder XRD pattern in this record (CuKα).
Kinematic intensities with the Lorentz-polarization factor, no thermal factor.

Peak list (6 most intense, 5 to 70 degrees two-theta, most intense first)
2theta	intensity
27.58	100
32.56	61
46.72	21
52.68	20
59.39	18
32.41	18

Cell and atoms:
```
Sm2ReO5
1.0
8.696 0.000 0.000
0.000 8.696 0.000
0.000 0.000 5.826
Sm Re O
8 4 20
Cartesian
0.865 5.290 1.455
0.942 7.831 4.371
3.406 5.213 4.371
3.483 7.754 1.455
5.213 0.942 4.371
5.290 3.483 1.455
7.754 0.865 1.455
7.831 3.406 4.371
2.174 2.174 0.877
2.174 2.174 3.147
6.522 6.522 2.679
6.522 6.522 4.949
0.434 1.387 3.502
0.435 2.979 0.571
1.369 0.435 0.571
1.387 3.914 3.502
2.174 6.522 0.000
2.174 6.522 2.913
2.961 0.434 3.502
2.979 3.913 0.571
3.913 1.369 0.571
3.914 2.961 3.502
4.782 5.735 2.325
4.783 7.327 5.255
5.717 4.783 5.255
5.735 8.262 2.325
6.522 2.174 0.000
6.522 2.174 2.913
7.309 4.782 2.325
7.327 8.261 5.255
8.261 5.717 5.255
8.262 7.309 2.325
```

No. 6
For SrSmReO6, a cell relaxed with GGA-PBE gives the computed powder XRD pattern in this record (CuKα).
Kinematic intensities with the Lorentz-polarization factor, no thermal factor.

Peak list (6 most intense, 5 to 70 degrees two-theta, most intense first)
2theta	intensity
24.98	100
31.59	58
47.53	54
17.09	45
36.13	34
52.40	26

Cell and atoms:
```
SrSmReO6
1.0
5.664 0.000 0.000
-2.832 4.906 0.000
0.000 0.000 5.189
Sr Sm Re O
1 1 1 6
Cartesian
0.000 0.000 0.000
0.000 3.270 2.594
2.832 1.635 2.594
2.074 0.259 3.677
1.261 1.667 1.512
3.590 0.259 1.512
2.019 2.980 3.677
4.403 1.667 3.677
3.645 2.980 1.512
```

No. 7
For ReSnO4, a cell relaxed with GGA-PBE gives the computed powder XRD pattern in this record (CuKα).
Kinematic intensities with the Lorentz-polarization factor, no thermal factor.

Peak list (6 most intense, 5 to 70 degrees two-theta, most intense first)
2theta	intensity
13.79	100
18.48	97
25.83	49
12.83	45
47.27	40
38.88	37

Cell and atoms:
```
ReSnO4
1.0
6.424 0.000 0.000
0.000 6.686 0.000
0.000 0.000 6.900
Re Sn O
2 2 8
Cartesian
0.000 0.000 0.000
0.000 3.343 3.450
0.000 0.000 3.450
3.212 3.343 3.450
1.001 0.967 1.079
1.001 5.720 5.821
1.281 2.088 3.931
1.281 4.599 2.969
5.142 2.088 2.969
5.142 4.599 3.931
5.423 0.967 5.821
5.423 5.720 1.079
```

No. 8
For SrRe2O, a cell relaxed with GGA-PBE gives the computed powder XRD pattern in this record (CuKα).
Kinematic intensities with the Lorentz-polarization factor, no thermal factor.

Peak list (6 most intense, 5 to 70 degrees two-theta, most intense first)
2theta	intensity
37.85	100
26.94	99
18.67	77
40.10	70
58.45	46
38.77	38

Cell and atoms:
```
SrRe2O
1.0
5.105 0.000 0.000
0.000 5.105 0.000
0.000 0.000 13.043
Sr Re O
4 8 4
Cartesian
0.000 1.276 4.891
0.000 3.828 8.152
2.552 1.276 1.630
2.552 3.828 11.413
0.000 0.000 0.000
0.000 2.552 0.000
1.276 1.276 9.782
1.276 3.828 3.261
2.552 0.000 6.522
2.552 2.552 6.522
3.828 1.276 9.782
3.828 3.828 3.261
0.000 1.276 11.413
0.000 3.828 1.630
2.552 1.276 8.152
2.552 3.828 4.891
```